Starting from the PBE+U geometry in Alexandria, the PXRD pattern of K2AcCoF8 was calculated for Cu Kα (λ = 1.5418 Å).
Kinematic intensities with the Lorentz-polarization factor, no thermal factor.

Peak list (12 most intense, 10 to 80 degrees two-theta, most intense first)
(0 0 1), 14.7 deg, I = 1000; (0 2 1), 28.0 deg, I = 956; (1 0 -1), 23.7 deg, I = 946; (1 0 1), 26.0 deg, I = 618; (1 2 -2), 42.1 deg, I = 614; (1 2 2), 44.9 deg, I = 565; (0 1 1), 18.8 deg, I = 402; (0 1 0), 11.8 deg, I = 371; (1 0 0), 20.0 deg, I = 322; (1 2 0), 31.2 deg, I = 295; (1 2 -1), 33.8 deg, I = 243; (2 0 0), 40.7 deg, I = 239

Cell and atoms:
```
K2AcCoF8
1.0
4.4517 0.0000 0.0000
0.0000 7.5178 0.0000
-0.5741 0.0000 6.0432
K Ac Co F
2 1 1 8
direct
0.0000 0.2259 0.0000
0.0000 0.7741 0.0000
0.5000 0.5000 0.5000
0.5000 0.0000 0.5000
0.0129 0.5000 0.2727
0.1439 0.0000 0.3271
0.4132 0.2125 0.7004
0.4132 0.7875 0.7004
0.5868 0.2125 0.2996
0.5868 0.7875 0.2996
0.8561 0.0000 0.6729
0.9871 0.5000 0.7273
```